Record 1
# Mg2CdIn2Hg7
Calculated X-ray diffraction stick pattern, Cu Kα (weighted mean of Kα1 and Kα2). Input: a crystal structure in Alexandria, relaxed with GGA-PBE.

Peak list (10 most intense, 2θ from 10° to 90°, in order of rising 2θ)
2θ = 32.01°, I 72
2θ = 32.30°, I 70
2θ = 36.19°, I 100
2θ = 36.38°, I 99
2θ = 46.11°, I 53
2θ = 59.67°, I 23
2θ = 60.05°, I 23
2θ = 60.16°, I 23
2θ = 60.29°, I 23
2θ = 76.78°, I 22

Structural model:
Cell lengths 10.3133, 10.3133, 5.5928 Å; angles 105.34, 105.34, 31.18 degrees
Fractional positions:
Mg (0.0000, 0.0000, 0.0000)
Mg (0.5000, 0.5000, 0.4917)
Cd (0.7500, 0.7500, 0.2449)
In (0.0873, 0.0873, 0.5812)
In (0.4126, 0.4126, 0.9106)
Hg (0.1637, 0.1637, 0.1582)
Hg (0.2500, 0.2500, 0.7459)
Hg (0.3362, 0.3362, 0.3336)
Hg (0.5735, 0.5735, 0.0667)
Hg (0.6638, 0.6638, 0.6553)
Hg (0.8362, 0.8362, 0.8350)
Hg (0.9265, 0.9265, 0.4245)

---

Record 2
# MgCd2InHg8
Calculated X-ray diffraction stick pattern, Cu Kα (weighted mean of Kα1 and Kα2). Input: a crystal structure in Alexandria, relaxed with GGA-PBE.

Peak list (10 most intense, 2θ from 10° to 90°, in order of rising 2θ)
2θ = 30.10°, I 23
2θ = 32.22°, I 100
2θ = 34.65°, I 47
2θ = 37.37°, I 37
2θ = 51.66°, I 17
2θ = 53.46°, I 28
2θ = 53.67°, I 16
2θ = 63.81°, I 13
2θ = 67.13°, I 16
2θ = 79.18°, I 13

Structural model:
Cell lengths 6.8554, 6.8554, 7.8975 Å; angles 90.00, 90.00, 120.00 degrees
Fractional positions:
Mg (0.0000, 0.0000, 0.0000)
Cd (0.3333, 0.6667, 0.9201)
Cd (0.6667, 0.3333, 0.0799)
In (0.0000, 0.0000, 0.5000)
Hg (0.1799, 0.3597, 0.2343)
Hg (0.1799, 0.8201, 0.2343)
Hg (0.3333, 0.6667, 0.5598)
Hg (0.3597, 0.1799, 0.7657)
Hg (0.6403, 0.8201, 0.2343)
Hg (0.6667, 0.3333, 0.4402)
Hg (0.8201, 0.1799, 0.7657)
Hg (0.8201, 0.6403, 0.7657)